(1)
Simulated PXRD pattern of K3Na3PbBr8 for Cu Ka, from DFT lattice parameters and positions (GGA-PBE).
Peak positions follow from Bragg's law for the DFT cell and can differ from measured ones.

Atomic structure:
```
K3Na3PbBr8
1.0
4.4380 2.5623 7.5962
-4.4380 2.5623 7.5962
0.0000 -5.1246 7.5962
K Na Pb Br
3 3 1 8
Cartesian
-2.2190 -1.2811 7.5962
-2.2190 1.2811 15.1923
0.0000 2.5623 7.5962
-4.4380 0.0000 11.3942
-2.2190 1.2811 3.7981
2.2190 1.2811 3.7981
0.0000 0.0000 11.3942
0.0000 0.0000 5.4996
-2.2114 -1.2767 13.0790
0.0000 -2.5534 9.7095
-2.2113 1.2767 9.7095
2.2114 -1.2767 13.0790
0.0000 2.5534 13.0790
2.2113 1.2767 9.7095
0.0000 0.0000 17.2889
```

The 10 most intense peaks (5° ≤ 2θ ≤ 70°), sorted by position:
2θ (°)	I/Imax
11.6	16
12.2	31
23.2	14
28.0	100
39.4	35
40.7	37
50.1	25
57.9	12
64.6	14
66.4	18

(2)
Simulated PXRD pattern of SrNp2O8 for Cu Ka, from DFT lattice parameters and positions (GGA-PBE).
Peak positions follow from Bragg's law for the DFT cell and can differ from measured ones.

Atomic structure:
```
SrNp2O8
1.0
-2.1074 4.4028 4.5771
2.1074 -4.4028 4.5771
2.1074 4.4028 -4.5771
Sr Np O
1 2 8
Cartesian
0.0000 0.0000 0.0000
2.1074 0.0000 2.8910
0.0000 4.4028 1.6860
2.1074 -1.2729 1.4820
0.0000 0.0000 2.7165
2.1074 1.2729 1.4820
0.0000 3.1553 0.0000
0.0000 5.6503 0.0000
0.0000 3.1299 3.0950
0.0000 0.0000 6.4377
0.0000 5.6757 3.0950
```

The 10 most intense peaks (5° ≤ 2θ ≤ 70°), sorted by position:
2θ (°)	I/Imax
20.2	100
23.2	31
23.4	72
30.6	63
31.0	84
41.9	24
42.4	27
42.7	38
53.9	24
62.2	24